Simulated X-ray diffraction stick pattern
Compound: NaAgC2O4
Radiation: Cu Kα (λ = 1.5418 Å)
Structure: the GGA-PBE geometry in the Materials Project
Peak positions follow from Bragg's law for the DFT cell and can differ from measured ones.

Most intense lines, 2θ = 10–90°, by angle:
2θ/deg, intensity
16.70, 748
24.21, 391
25.74, 463
29.97, 904
30.35, 889
31.32, 1000

Crystal structure
```
NaAgC2O4
1.0
3.552 0.000 0.000
0.152 5.311 0.000
1.032 0.288 11.027
Na Ag C O
2 2 4 8
direct
0.218 0.063 0.356
0.782 0.937 0.644
0.160 0.431 0.837
0.840 0.569 0.163
0.382 0.453 0.560
0.393 0.060 0.058
0.607 0.940 0.942
0.618 0.547 0.440
0.213 0.266 0.042
0.264 0.231 0.563
0.330 0.612 0.644
0.410 0.945 0.159
0.590 0.055 0.841
0.670 0.388 0.356
0.736 0.769 0.437
0.787 0.734 0.958
```


Simulated X-ray diffraction stick pattern
Compound: NaAgC2O4
Radiation: Cu Kα (λ = 1.5418 Å)
Structure: the GGA-PBE geometry in the Materials Project
Peak positions follow from Bragg's law for the DFT cell and can differ from measured ones.

Most intense lines, 2θ = 10–90°, by angle:
2θ/deg, intensity
16.07, 521
18.53, 645
29.54, 394
30.73, 1000
32.17, 264
32.47, 294

Crystal structure
```
NaAgC2O4
1.0
3.556 0.000 0.000
0.000 5.316 0.000
-1.192 0.000 11.031
Na Ag C O
2 2 4 8
direct
0.000 0.190 0.000
0.000 0.810 0.500
0.389 0.323 0.303
0.389 0.677 0.803
0.573 0.289 0.584
0.573 0.711 0.084
0.792 0.183 0.704
0.792 0.817 0.204
0.457 0.486 0.084
0.457 0.514 0.584
0.535 0.138 0.495
0.535 0.862 0.995
0.788 0.310 0.801
0.788 0.690 0.301
0.962 0.024 0.194
0.962 0.976 0.694
```


Simulated X-ray diffraction stick pattern
Compound: Ag2CO3
Radiation: Cu Kα (λ = 1.5418 Å)
Structure: the GGA-PBE geometry in the Materials Project
Peak positions follow from Bragg's law for the DFT cell and can differ from measured ones.

Most intense lines, 2θ = 10–90°, by angle:
2θ/deg, intensity
18.14, 563
30.34, 1000
32.81, 995
34.18, 465
38.64, 611
38.96, 264

Crystal structure
```
Ag2CO3
1.0
3.357 0.000 0.000
0.000 9.782 0.000
-0.629 0.000 4.992
Ag C O
4 2 6
direct
0.239 0.070 0.202
0.239 0.430 0.202
0.761 0.570 0.798
0.761 0.930 0.798
0.190 0.750 0.283
0.810 0.250 0.717
0.004 0.250 0.960
0.285 0.635 0.403
0.285 0.865 0.403
0.715 0.135 0.597
0.715 0.365 0.597
0.996 0.750 0.040
```


Simulated X-ray diffraction stick pattern
Compound: Ag2CO3
Radiation: Cu Kα (λ = 1.5418 Å)
Structure: the GGA-PBE geometry in the Materials Project
Peak positions follow from Bragg's law for the DFT cell and can differ from measured ones.

Most intense lines, 2θ = 10–90°, by angle:
2θ/deg, intensity
19.28, 320
32.45, 1000
33.68, 389
33.84, 190
47.56, 249
59.46, 188

Crystal structure
```
Ag2CO3
1.0
3.447 0.000 0.000
0.000 15.895 0.000
0.000 0.000 9.231
Ag C O
12 6 18
direct
0.000 0.071 0.000
0.000 0.252 0.524
0.000 0.421 0.995
0.000 0.579 0.495
0.000 0.748 0.024
0.000 0.929 0.500
0.500 0.078 0.348
0.500 0.251 0.832
0.500 0.420 0.344
0.500 0.580 0.844
0.500 0.749 0.332
0.500 0.922 0.848
0.000 0.249 0.176
0.000 0.751 0.676
0.500 0.084 0.676
0.500 0.418 0.674
0.500 0.582 0.174
0.500 0.916 0.176
0.000 0.198 0.287
0.000 0.217 0.044
0.000 0.330 0.193
0.000 0.670 0.693
0.000 0.783 0.544
0.000 0.802 0.787
0.500 0.002 0.657
0.500 0.114 0.806
0.500 0.133 0.564
0.500 0.366 0.564
0.500 0.388 0.806
0.500 0.498 0.652
0.500 0.502 0.152
0.500 0.612 0.306
0.500 0.634 0.064
0.500 0.867 0.064
0.500 0.886 0.306
0.500 0.998 0.157
```


Simulated X-ray diffraction stick pattern
Compound: Ag2CO3
Radiation: Cu Kα (λ = 1.5418 Å)
Structure: the GGA-PBE geometry in the Materials Project
Peak positions follow from Bragg's law for the DFT cell and can differ from measured ones.

Most intense lines, 2θ = 10–90°, by angle:
2θ/deg, intensity
19.38, 327
32.75, 1000
33.90, 557
47.85, 364
59.93, 238
65.12, 154

Crystal structure
```
Ag2CO3
1.0
9.160 0.000 0.000
-4.580 7.933 0.000
0.000 0.000 3.408
Ag C O
6 3 9
direct
0.008 0.668 0.000
0.331 0.031 0.500
0.332 0.341 0.000
0.659 0.992 0.000
0.700 0.669 0.500
0.969 0.300 0.500
0.000 0.000 0.000
0.333 0.667 0.500
0.667 0.333 0.000
0.055 0.161 0.000
0.106 0.945 0.000
0.169 0.594 0.500
0.406 0.575 0.500
0.425 0.831 0.500
0.559 0.172 0.000
0.613 0.441 0.000
0.828 0.387 0.000
0.839 0.894 0.000
```


Simulated X-ray diffraction stick pattern
Compound: Ag2CO3
Radiation: Cu Kα (λ = 1.5418 Å)
Structure: the GGA-PBE geometry in the Materials Project
Peak positions follow from Bragg's law for the DFT cell and can differ from measured ones.

Most intense lines, 2θ = 10–90°, by angle:
2θ/deg, intensity
18.92, 344
33.08, 621
33.39, 1000
47.71, 331
59.28, 258
66.82, 132

Crystal structure
```
Ag2CO3
1.0
9.382 0.000 0.000
-4.691 8.125 0.000
0.000 0.000 6.543
Ag C O
12 6 18
direct
0.025 0.678 0.000
0.027 0.336 0.780
0.309 0.973 0.780
0.322 0.347 0.000
0.336 0.027 0.280
0.347 0.322 0.500
0.653 0.975 0.000
0.664 0.691 0.780
0.678 0.025 0.500
0.691 0.664 0.280
0.973 0.309 0.280
0.975 0.653 0.500
0.000 0.000 0.385
0.000 0.000 0.885
0.333 0.667 0.222
0.333 0.667 0.715
0.667 0.333 0.215
0.667 0.333 0.722
0.080 0.160 0.385
0.080 0.920 0.385
0.160 0.080 0.885
0.174 0.598 0.716
0.238 0.730 0.224
0.270 0.507 0.224
0.402 0.576 0.716
0.424 0.826 0.716
0.493 0.762 0.224
0.507 0.270 0.724
0.576 0.402 0.216
0.598 0.174 0.216
0.730 0.238 0.724
0.762 0.493 0.724
0.826 0.424 0.216
0.840 0.920 0.385
0.920 0.080 0.885
0.920 0.840 0.885
```


Simulated X-ray diffraction stick pattern
Compound: Ag2CO3
Radiation: Cu Kα (λ = 1.5418 Å)
Structure: the GGA-PBE geometry in the Materials Project
Peak positions follow from Bragg's law for the DFT cell and can differ from measured ones.

Most intense lines, 2θ = 10–90°, by angle:
2θ/deg, intensity
19.34, 328
32.80, 1000
33.83, 553
47.84, 359
59.87, 227
65.24, 152

Crystal structure
```
Ag2CO3
1.0
-3.398 7.949 4.589
3.398 -7.949 4.589
3.398 7.949 -4.589
Ag C O
12 6 18
direct
0.000 0.000 0.000
0.000 0.500 0.500
0.319 0.387 0.432
0.326 0.490 0.837
0.326 0.989 0.337
0.333 0.897 0.936
0.653 0.489 0.163
0.653 0.990 0.663
0.691 0.445 0.747
0.698 0.945 0.253
0.955 0.887 0.568
0.962 0.397 0.064
0.326 0.076 0.750
0.326 0.576 0.250
0.660 0.326 0.333
0.660 0.827 0.834
0.993 0.327 0.667
0.993 0.826 0.166
0.047 0.298 0.745
0.047 0.802 0.249
0.099 0.461 0.641
0.099 0.958 0.138
0.163 0.449 0.214
0.235 0.949 0.786
0.254 0.086 0.668
0.399 0.694 0.204
0.418 0.586 0.332
0.490 0.194 0.796
0.553 0.302 0.255
0.553 0.798 0.751
0.606 0.217 0.385
0.606 0.721 0.888
0.820 0.458 0.359
0.820 0.961 0.862
0.832 0.221 0.615
0.832 0.717 0.112
```


Simulated X-ray diffraction stick pattern
Compound: RbAgC2
Radiation: Cu Kα (λ = 1.5418 Å)
Structure: the GGA-PBE geometry in the Materials Project
Peak positions follow from Bragg's law for the DFT cell and can differ from measured ones.

Most intense lines, 2θ = 10–90°, by angle:
2θ/deg, intensity
25.71, 1000
27.70, 621
39.57, 228
44.05, 279
47.79, 371
52.83, 160

Crystal structure
```
RbAgC2
1.0
4.555 0.000 0.000
0.000 4.555 0.000
0.000 0.000 5.341
Rb Ag C
1 1 2
direct
0.000 0.000 0.000
0.500 0.500 0.500
0.500 0.500 0.117
0.500 0.500 0.883
```